# 1
Mg14MnCrO16: simulated PXRD pattern (a wavelength of 1.5418 Å), based on a PBE+U-relaxed structure.
Intensities are scaled so that the largest is 100.

Structure:
```
data_Mg14MnCrO16
_chemical_formula_sum 'Mg14 Mn1 Cr1 O16'
_cell_length_a 4.2781
_cell_length_b 8.5277
_cell_length_c 8.6615
_cell_angle_alpha 90.00
_cell_angle_beta 90.00
_cell_angle_gamma 90.00
_space_group_name_H-M_alt 'P 1'
_space_group_IT_number 1
loop_
_space_group_symop_operation_xyz
'x,y,z'
loop_
_atom_site_label
_atom_site_type_symbol
_atom_site_fract_x
_atom_site_fract_y
_atom_site_fract_z
Mg1 Mg 0.0000 0.0000 0.0000
Mg2 Mg 0.0000 0.2483 0.2466
Mg3 Mg 0.0000 0.2483 0.7534
Mg4 Mg 0.0000 0.5000 0.0000
Mg5 Mg 0.0000 0.7517 0.2466
Mg6 Mg 0.0000 0.7517 0.7534
Mg7 Mg 0.5000 0.0000 0.2465
Mg8 Mg 0.5000 0.0000 0.7535
Mg9 Mg 0.5000 0.2486 0.5000
Mg10 Mg 0.5000 0.2499 0.0000
Mg11 Mg 0.5000 0.5000 0.2475
Mg12 Mg 0.5000 0.5000 0.7525
Mg13 Mg 0.5000 0.7501 0.0000
Mg14 Mg 0.5000 0.7514 0.5000
Mn1 Mn 0.0000 0.5000 0.5000
Cr1 Cr 0.0000 0.0000 0.5000
O1 O 0.0000 0.0000 0.2355
O2 O 0.0000 0.0000 0.7645
O3 O 0.0000 0.2441 0.5000
O4 O 0.0000 0.2520 0.0000
O5 O 0.0000 0.5000 0.2437
O6 O 0.0000 0.5000 0.7563
O7 O 0.0000 0.7480 0.0000
O8 O 0.0000 0.7559 0.5000
O9 O 0.5000 0.0000 0.0000
O10 O 0.5000 0.0000 0.5000
O11 O 0.5000 0.2502 0.2511
O12 O 0.5000 0.2502 0.7489
O13 O 0.5000 0.5000 0.0000
O14 O 0.5000 0.5000 0.5000
O15 O 0.5000 0.7498 0.2511
O16 O 0.5000 0.7498 0.7489
```

Main lines, most intense first (2θ = 10–80°):
2θ (°)  Rel. int.  h k l
41.71  100  0 0 4
42.25  97  2 0 0
42.40  96  0 4 0
60.88  55  2 0 4
60.99  55  0 4 4
61.40  54  2 4 0


# 2
Mg14MnCrO16: simulated PXRD pattern (a wavelength of 1.5418 Å), based on a PBE+U-relaxed structure.
Intensities are scaled so that the largest is 100.

Structure:
```
data_Mg14MnCrO16
_chemical_formula_sum 'Mg14 Mn1 Cr1 O16'
_cell_length_a 8.5364
_cell_length_b 8.5364
_cell_length_c 4.3369
_cell_angle_alpha 90.00
_cell_angle_beta 90.00
_cell_angle_gamma 90.00
_space_group_name_H-M_alt 'P 1'
_space_group_IT_number 1
loop_
_space_group_symop_operation_xyz
'x,y,z'
loop_
_atom_site_label
_atom_site_type_symbol
_atom_site_fract_x
_atom_site_fract_y
_atom_site_fract_z
Mg1 Mg 0.0000 0.2492 0.0000
Mg2 Mg 0.0000 0.5000 0.5000
Mg3 Mg 0.0000 0.7508 0.0000
Mg4 Mg 0.2479 0.5000 0.0000
Mg5 Mg 0.2492 0.0000 0.0000
Mg6 Mg 0.2497 0.2497 0.5000
Mg7 Mg 0.2497 0.7503 0.5000
Mg8 Mg 0.5000 0.0000 0.5000
Mg9 Mg 0.5000 0.2479 0.0000
Mg10 Mg 0.5000 0.7521 0.0000
Mg11 Mg 0.7503 0.2497 0.5000
Mg12 Mg 0.7503 0.7503 0.5000
Mg13 Mg 0.7508 0.0000 0.0000
Mg14 Mg 0.7521 0.5000 0.0000
Mn1 Mn 0.5000 0.5000 0.5000
Cr1 Cr 0.0000 0.0000 0.5000
O1 O 0.0000 0.0000 0.0000
O2 O 0.0000 0.2528 0.5000
O3 O 0.0000 0.5000 0.0000
O4 O 0.0000 0.7472 0.5000
O5 O 0.2432 0.5000 0.5000
O6 O 0.2503 0.2503 0.0000
O7 O 0.2503 0.7497 0.0000
O8 O 0.2528 0.0000 0.5000
O9 O 0.5000 0.0000 0.0000
O10 O 0.5000 0.2432 0.5000
O11 O 0.5000 0.5000 0.0000
O12 O 0.5000 0.7568 0.5000
O13 O 0.7472 0.0000 0.5000
O14 O 0.7497 0.2503 0.0000
O15 O 0.7497 0.7497 0.0000
O16 O 0.7568 0.5000 0.5000
```

Main lines, most intense first (2θ = 10–80°):
2θ (°)  Rel. int.  h k l
42.35  100  4 0 0
60.91  58  4 0 2
41.65  53  0 0 2
61.44  28  4 4 0
76.98  26  4 4 2
36.26  26  2 2 1